# 1
Computed powder XRD pattern
Compound: Nd6Ni20P13
Radiation: Cu Ka
Structure: a DFT-relaxed cell (GGA-PBE, Alexandria)
Peak positions follow from Bragg's law for the DFT cell and can differ from measured ones.

Atomic structure:
Lattice parameters (Å, degrees): 12.795 12.795 3.844 90.00 90.00 120.00
Positions (direct):
Nd 0.051 0.852 0.000
Nd 0.148 0.199 0.000
Nd 0.519 0.134 0.500
Nd 0.615 0.481 0.500
Nd 0.801 0.949 0.000
Nd 0.866 0.385 0.500
Ni 0.000 0.000 0.500
Ni 0.016 0.588 0.000
Ni 0.091 0.355 0.500
Ni 0.188 0.591 0.500
Ni 0.229 0.755 0.000
Ni 0.245 0.473 0.000
Ni 0.264 0.909 0.500
Ni 0.310 0.082 0.000
Ni 0.358 0.257 0.500
Ni 0.402 0.812 0.500
Ni 0.409 0.598 0.500
Ni 0.412 0.428 0.000
Ni 0.527 0.771 0.000
Ni 0.572 0.984 0.000
Ni 0.645 0.736 0.500
Ni 0.667 0.333 0.000
Ni 0.743 0.101 0.500
Ni 0.772 0.690 0.000
Ni 0.899 0.642 0.500
Ni 0.918 0.228 0.000
P 0.055 0.430 0.000
P 0.102 0.708 0.500
P 0.200 0.054 0.500
P 0.292 0.394 0.500
P 0.333 0.667 0.000
P 0.376 0.945 0.000
P 0.467 0.281 0.000
P 0.570 0.624 0.000
P 0.606 0.898 0.500
P 0.719 0.186 0.000
P 0.814 0.533 0.000
P 0.853 0.800 0.500
P 0.946 0.147 0.500

Peak list (6 most intense, 2θ = 10–80°, in order of falling intensity)
(hkl), 2theta, I_rel
1 3 1, 37.47, 1000
0 0 2, 47.29, 244
2 2 1, 36.54, 206
5 2 0, 51.50, 175
5 2 2, 72.51, 168
4 1 0, 37.18, 148

***

# 2
Computed powder XRD pattern
Compound: YGe
Radiation: Cu Ka
Structure: a DFT-relaxed cell (GGA-PBE, Alexandria)
Peak positions follow from Bragg's law for the DFT cell and can differ from measured ones.

Atomic structure:
Lattice parameters (Å, degrees): 13.297 4.243 5.511 90.00 90.00 90.00
Positions (direct):
Y 0.000 0.249 0.000
Y 0.205 0.752 0.676
Y 0.295 0.248 0.176
Y 0.500 0.751 0.500
Y 0.705 0.248 0.176
Y 0.795 0.752 0.676
Ge 0.000 0.687 0.485
Ge 0.141 0.752 0.168
Ge 0.359 0.248 0.668
Ge 0.500 0.313 0.985
Ge 0.641 0.248 0.668
Ge 0.859 0.752 0.168

Peak list (6 most intense, 2θ = 10–80°, in order of falling intensity)
(hkl), 2theta, I_rel
4 1 1, 38.07, 1000
3 1 0, 29.14, 833
2 0 2, 35.26, 594
0 2 0, 42.62, 535
2 1 1, 29.78, 471
3 1 2, 44.20, 446